1.
Simulated powder XRD pattern of MgMn12O14F10 for Cu Kα (weighted mean of Kα1 and Kα2), from a DFT-relaxed cell (GGA+U, the Materials Project).
Kinematic intensities with the Lorentz-polarization factor, no thermal factor.

Main lines, in order of falling intensity (2θ from 5° to 70°):
Position (°2θ)  I (rel.)  (hkl)
24.4  100  1 1 0
24.0  94  1 -1 0
29.6  91  1 -1 3
52.3  84  2 0 6
30.3  84  1 1 3
29.9  83  -1 1 3
29.9  81  1 1 -3
52.2  46  2 0 -6

Atomic structure:
a = 4.8126 Å, b = 5.7160 Å, c = 15.3169 Å
α = 90.95°, β = 90.18°, γ = 91.05°
Space group P1 (No. 1)
Asymmetric unit:
Mg  0.0000  0.0000  0.0000 (multiplicity 1)
Mn  0.4635  0.0351  0.3305 (multiplicity 1)
Mn  0.4706  0.0299  0.6559 (multiplicity 1)
Mn  0.4777  0.7321  0.4970 (multiplicity 1)
Mn  0.4855  0.7251  0.8266 (multiplicity 1)
Mn  0.4856  0.7403  0.1627 (multiplicity 1)
Mn  0.5096  0.0250  0.0039 (multiplicity 1)
Mn  0.9432  0.5305  0.0084 (multiplicity 1)
Mn  0.9528  0.5744  0.6678 (multiplicity 1)
Mn  0.9597  0.2236  0.1830 (multiplicity 1)
Mn  0.9601  0.2564  0.8263 (multiplicity 1)
Mn  0.9629  0.2296  0.5128 (multiplicity 1)
Mn  0.9660  0.5366  0.3481 (multiplicity 1)
O  0.2523  0.0050  0.5556 (multiplicity 1)
O  0.2520  0.7853  0.7222 (multiplicity 1)
O  0.2599  0.7784  0.0513 (multiplicity 1)
O  0.2605  0.7608  0.3901 (multiplicity 1)
O  0.2669  0.9920  0.2211 (multiplicity 1)
O  0.6892  0.7942  0.6039 (multiplicity 1)
O  0.7152  0.7833  0.9415 (multiplicity 1)
O  0.7425  0.2687  0.2894 (multiplicity 1)
O  0.7479  0.2744  0.6166 (multiplicity 1)
O  0.7530  0.0109  0.1090 (multiplicity 1)
O  0.7571  0.5019  0.1159 (multiplicity 1)
O  0.7601  0.4985  0.4548 (multiplicity 1)
O  0.7621  0.2523  0.9501 (multiplicity 1)
O  0.7662  0.5284  0.7755 (multiplicity 1)
F  0.1983  0.4852  0.2345 (multiplicity 1)
F  0.2001  0.5125  0.8993 (multiplicity 1)
F  0.2034  0.5171  0.5687 (multiplicity 1)
F  0.2072  0.2605  0.4071 (multiplicity 1)
F  0.2290  0.2566  0.0556 (multiplicity 1)
F  0.2338  0.0124  0.8909 (multiplicity 1)
F  0.2382  0.2680  0.7224 (multiplicity 1)
F  0.6942  0.0179  0.7675 (multiplicity 1)
F  0.7131  0.0014  0.4342 (multiplicity 1)
F  0.7177  0.7598  0.2721 (multiplicity 1)

***

2.
Simulated powder XRD pattern of MgMn6O10F2 for Cu Kα (weighted mean of Kα1 and Kα2), from a DFT-relaxed cell (GGA+U, the Materials Project).
Kinematic intensities with the Lorentz-polarization factor, no thermal factor.

Main lines, in order of falling intensity (2θ from 5° to 70°):
Position (°2θ)  I (rel.)  (hkl)
23.5  100  0 0 3
27.8  86  0 2 1
7.8  34  0 0 1
31.5  29  0 0 4
34.9  29  1 -1 1
35.2  28  1 1 -1
28.5  27  0 2 0
35.4  23  1 1 2

Atomic structure:
a = 2.9725 Å, b = 6.4200 Å, c = 11.6465 Å
α = 77.36°, β = 88.95°, γ = 89.91°
Space group P1 (No. 1)
Asymmetric unit:
Mg  0.0000  0.0000  0.0000 (multiplicity 1)
Mn  0.0181  0.8857  0.7953 (multiplicity 1)
Mn  0.0301  0.5078  0.4892 (multiplicity 1)
Mn  0.0502  0.1167  0.2315 (multiplicity 1)
Mn  0.5144  0.6193  0.2033 (multiplicity 1)
Mn  0.5175  0.3951  0.8012 (multiplicity 1)
Mn  0.5397  0.9988  0.5090 (multiplicity 1)
O  0.0136  0.8301  0.1713 (multiplicity 1)
O  0.0157  0.1880  0.8292 (multiplicity 1)
O  0.0157  0.4324  0.1912 (multiplicity 1)
O  0.0170  0.5834  0.8075 (multiplicity 1)
O  0.0383  0.1954  0.5077 (multiplicity 1)
O  0.0387  0.8006  0.5146 (multiplicity 1)
O  0.5095  0.8513  0.9171 (multiplicity 1)
O  0.5220  0.5547  0.3843 (multiplicity 1)
O  0.5252  0.9426  0.6890 (multiplicity 1)
O  0.5508  0.0599  0.3372 (multiplicity 1)
F  0.4932  0.1646  0.0616 (multiplicity 1)
F  0.5409  0.4518  0.6141 (multiplicity 1)